Theoretical X-ray powder pattern
Compound: La4Al2O9
Radiation: Cu Kα X-rays
Structure: a structure optimized by DFT (GGA-PBE)
Kinematic intensities with the Lorentz-polarization factor, no thermal factor.

Structural model:
Cell lengths 7.9412, 11.0772, 11.6314 Å; angles 90.00, 109.50, 90.00 degrees
Sites, in units of the cell vectors:
1 La 0.0845 0.1213 0.4152
2 La 0.0845 0.3787 0.9152
3 La 0.2285 0.5995 0.7047
4 La 0.2285 0.9005 0.2047
5 La 0.2771 0.0884 0.8094
6 La 0.2771 0.4116 0.3094
7 La 0.4104 0.6299 0.0663
8 La 0.4104 0.8701 0.5663
9 La 0.5896 0.1299 0.4337
10 La 0.5896 0.3701 0.9337
11 La 0.7229 0.5884 0.6906
12 La 0.7229 0.9116 0.1906
13 La 0.7715 0.0995 0.7953
14 La 0.7715 0.4005 0.2953
15 La 0.9155 0.6213 0.0848
16 La 0.9155 0.8787 0.5848
17 Al 0.0976 0.6874 0.3791
18 Al 0.0976 0.8126 0.8791
19 Al 0.4642 0.1822 0.1251
20 Al 0.4642 0.3178 0.6251
21 Al 0.5358 0.6822 0.3749
22 Al 0.5358 0.8178 0.8749
23 Al 0.9024 0.1874 0.1209
24 Al 0.9024 0.3126 0.6209
25 O 0.0226 0.2202 0.7466
26 O 0.0226 0.2798 0.2466
27 O 0.0297 0.5376 0.3303
28 O 0.0297 0.9624 0.8303
29 O 0.1150 0.7359 0.5284
30 O 0.1150 0.7641 0.0284
31 O 0.1874 0.0012 0.6061
32 O 0.1874 0.4988 0.1061
33 O 0.3201 0.7173 0.3828
34 O 0.3201 0.7827 0.8828
35 O 0.3275 0.2362 0.9809
36 O 0.3275 0.2638 0.4809
37 O 0.3303 0.0005 0.3930
38 O 0.3303 0.4995 0.8930
39 O 0.4395 0.0261 0.1492
40 O 0.4395 0.4739 0.6492
41 O 0.4750 0.2336 0.7590
42 O 0.4750 0.2664 0.2590
43 O 0.5250 0.7336 0.7410
44 O 0.5250 0.7664 0.2410
45 O 0.5605 0.5261 0.3508
46 O 0.5605 0.9739 0.8508
47 O 0.6697 0.5005 0.1070
48 O 0.6697 0.9995 0.6070
49 O 0.6725 0.7362 0.5191
50 O 0.6725 0.7638 0.0191
51 O 0.6799 0.2173 0.1172
52 O 0.6799 0.2827 0.6172
53 O 0.8126 0.5012 0.8939
54 O 0.8126 0.9988 0.3939
55 O 0.8850 0.2359 0.9716
56 O 0.8850 0.2641 0.4716
57 O 0.9703 0.0376 0.1697
58 O 0.9703 0.4624 0.6697
59 O 0.9774 0.7202 0.7534
60 O 0.9774 0.7798 0.2534

The 12 most intense peaks (2θ = 15–90°), in order of falling intensity:
2theta, I/Imax, index
27.64, 100, 2 2 -1
29.28, 54, 0 2 3
18.05, 29, 0 1 2
29.16, 28, 0 3 2
25.67, 23, 0 1 3
45.70, 20, 4 0 -2
33.43, 19, 2 0 -4
28.80, 17, 2 1 1
47.01, 15, 2 4 2
47.21, 14, 2 4 -4
42.00, 14, 0 1 5
55.02, 14, 4 2 1